Simulated X-ray diffraction stick pattern of LiEr4Be4Si2O14 for Cu Ka, from a cell relaxed with PBE.

```
LiEr4Be4Si2O14
1.0
5.416 -5.150 0.000
5.416 5.150 0.000
-0.350 0.000 4.851
Li Er Be Si O
1 4 4 2 14
Cartesian
0.000 0.000 0.000
2.415 0.000 0.076
5.392 0.000 0.098
8.716 1.664 0.401
8.716 -1.664 0.401
3.556 1.450 2.492
3.556 -1.450 2.492
7.343 0.000 2.911
10.195 0.000 2.862
6.152 2.658 2.659
6.152 -2.658 2.659
5.759 3.921 3.621
3.458 1.552 4.078
4.840 2.278 1.738
3.722 0.000 1.834
7.506 3.029 1.748
3.458 -1.552 4.078
6.538 1.350 3.632
7.221 0.000 1.317
4.840 -2.278 1.738
6.538 -1.350 3.632
8.773 0.000 3.711
9.858 0.000 1.388
5.759 -3.921 3.621
7.506 -3.029 1.748
```

Largest 12 diffraction maxima, by intensity, 15 to 90 degrees two-theta:
d [Å]  I (rel.)
4.851  100
3.272  55
2.740  54
2.686  49
2.700  45
3.400  34
2.877  31
5.402  30
3.746  30
2.258  28
3.531  27
1.618  24


Simulated X-ray diffraction stick pattern of LiEr4Be4Si2O14 for Cu Ka, from a cell relaxed with PBE.

```
LiEr4Be4Si2O14
1.0
5.226 -5.152 0.000
5.226 5.152 0.000
-0.015 0.000 4.865
Li Er Be Si O
1 4 4 2 14
Cartesian
0.000 0.000 0.000
3.561 1.627 2.520
3.561 -1.627 2.520
7.110 0.000 2.407
10.404 0.000 2.417
2.225 0.000 0.185
4.996 0.000 0.225
8.646 1.450 4.711
8.646 -1.450 4.711
6.137 2.567 0.011
6.137 -2.567 0.011
1.317 1.273 0.922
4.817 2.988 3.953
2.183 0.000 3.448
1.317 -1.273 0.922
3.580 0.000 0.943
5.753 1.315 0.999
5.045 0.000 3.483
7.388 2.183 3.897
5.753 -1.315 0.999
8.702 1.487 1.443
4.817 -2.988 3.953
8.701 0.000 4.039
7.388 -2.183 3.897
8.702 -1.487 1.443
```

Largest 12 diffraction maxima, by intensity, 15 to 90 degrees two-theta:
d [Å]  I (rel.)
4.865  100
2.731  94
2.710  92
3.300  52
3.263  49
2.929  48
1.950  41
1.717  32
3.561  26
1.620  25
3.537  24
1.675  23


Simulated X-ray diffraction stick pattern of ErBe4Ni8 for Cu Ka, from a cell relaxed with PBE.

```
ErBe4Ni8
1.0
-3.929 3.929 2.274
3.929 -3.929 2.274
3.929 3.929 -2.274
Er Be Ni
1 4 8
Cartesian
0.000 0.000 0.000
1.965 1.965 -1.137
1.965 -1.965 1.137
-1.965 1.965 1.137
1.965 1.965 1.137
2.741 0.000 0.000
5.118 0.000 0.000
3.929 2.155 0.000
0.000 2.741 0.000
2.155 3.929 0.000
1.774 0.000 2.274
0.000 5.118 0.000
0.000 1.774 2.274
```

Largest 12 diffraction maxima, by intensity, 15 to 90 degrees two-theta:
d [Å]  I (rel.)
1.966  100
2.272  65
3.930  38
2.780  28
1.135  23
1.244  14
1.487  12
2.485  11
1.759  9
1.677  7
1.852  7
1.159  6


Simulated X-ray diffraction stick pattern of ErBe2Ni6 for Cu Ka, from a cell relaxed with PBE.

```
ErBe2Ni6
1.0
0.000 4.969 4.969
4.969 0.000 4.969
4.969 4.969 0.000
Er Be Ni
2 4 12
Cartesian
1.242 1.242 1.242
8.695 8.695 8.695
4.969 2.484 2.484
2.484 4.969 2.484
2.484 2.484 4.969
4.969 4.969 4.969
3.726 3.726 1.386
3.726 1.386 3.726
6.067 3.726 3.726
6.211 6.211 3.870
6.211 3.870 6.211
8.551 6.211 6.211
1.386 3.726 3.726
3.726 6.067 3.726
3.726 3.726 6.067
3.870 6.211 6.211
6.211 8.551 6.211
6.211 6.211 8.551
```

Largest 12 diffraction maxima, by intensity, 15 to 90 degrees two-theta:
d [Å]  I (rel.)
2.484  100
1.757  72
2.996  40
5.737  25
1.111  25
2.280  25
1.434  21
1.294  14
1.912  11
1.242  10
1.680  7
1.214  6


Simulated X-ray diffraction stick pattern of Er2BeNiPt6 for Cu Ka, from a cell relaxed with PBE.

```
Er2BeNiPt6
1.0
4.765 -2.756 0.000
4.765 2.756 0.000
-3.176 0.000 6.967
Er Be Ni Pt
2 1 1 6
Cartesian
1.587 0.000 0.754
4.767 0.000 6.213
-1.588 0.000 3.483
4.765 0.000 0.000
2.378 1.367 5.036
0.016 0.000 5.035
3.977 1.367 1.931
2.378 -1.367 5.036
6.338 0.000 1.931
3.977 -1.367 1.931
```

Largest 12 diffraction maxima, by intensity, 15 to 90 degrees two-theta:
d [Å]  I (rel.)
2.325  100
2.169  75
3.483  46
2.160  22
2.561  20
3.144  18
1.761  17
1.376  16
2.531  16
1.914  16
2.291  13
1.333  10


Simulated X-ray diffraction stick pattern of ErBeSiNi6 for Cu Ka, from a cell relaxed with PBE.

```
ErBeSiNi6
1.0
-3.048 3.770 5.065
3.048 -3.770 5.065
3.048 3.770 -5.065
Er Be Si Ni
2 2 2 12
Cartesian
0.000 1.885 2.101
3.048 1.885 2.963
0.000 0.000 0.000
0.000 3.770 0.000
1.524 1.885 -2.532
1.524 -1.885 2.532
1.807 -0.073 1.215
4.289 -0.073 1.215
3.048 -1.885 4.162
3.048 1.885 0.175
1.807 3.696 -1.215
1.241 -0.073 3.850
1.807 3.843 1.215
1.241 0.073 6.280
0.000 1.885 4.890
0.000 5.655 0.903
-1.241 3.843 3.850
1.241 3.843 3.850
```

Largest 12 diffraction maxima, by intensity, 15 to 90 degrees two-theta:
d [Å]  I (rel.)
2.370  100
2.325  48
2.102  43
2.722  37
2.234  37
1.885  37
2.167  21
1.948  20
1.340  18
3.082  18
1.712  16
1.741  16


Simulated X-ray diffraction stick pattern of ErBeSi2Ni2 for Cu Ka, from a cell relaxed with PBE.

```
ErBeSi2Ni2
1.0
4.164 0.000 0.000
0.000 4.164 0.000
0.000 0.000 5.080
Er Be Si Ni
1 1 2 2
Cartesian
0.000 0.000 0.000
0.000 0.000 2.540
0.000 2.082 2.540
2.082 0.000 2.540
2.082 2.082 1.243
2.082 2.082 3.837
```

Largest 12 diffraction maxima, by intensity, 15 to 90 degrees two-theta:
d [Å]  I (rel.)
2.168  100
2.547  86
2.945  78
3.220  78
2.082  62
1.502  60
1.748  28
5.080  24
1.275  22
1.472  20
1.218  15
1.468  13


Simulated X-ray diffraction stick pattern of Er2Be2SiO7 for Cu Ka, from a cell relaxed with PBE.

```
Er2Be2SiO7
1.0
7.291 0.000 0.000
0.000 7.291 0.000
0.000 0.000 4.765
Er Be Si O
4 4 2 14
Cartesian
1.154 2.491 0.041
2.491 6.137 4.723
4.800 1.154 4.723
6.137 4.800 0.041
1.000 4.645 2.579
2.646 1.000 2.185
4.645 6.291 2.185
6.291 2.646 2.579
0.000 0.000 2.382
3.646 3.646 2.382
0.000 3.646 3.264
0.606 6.108 3.345
1.031 4.677 0.990
1.183 0.606 1.419
2.462 4.251 3.345
2.614 1.031 3.775
3.040 2.462 1.419
3.646 0.000 1.500
4.251 4.829 1.419
4.677 6.260 3.775
4.829 3.040 3.345
6.108 6.685 1.419
6.260 2.614 0.990
6.685 1.183 3.345
```

Largest 12 diffraction maxima, by intensity, 15 to 90 degrees two-theta:
d [Å]  I (rel.)
2.691  100
4.765  55
3.261  53
1.924  42
1.657  32
2.895  27
3.499  25
1.617  19
2.075  19
2.306  17
1.177  17
1.428  15


Simulated X-ray diffraction stick pattern of Er2BeOs for Cu Ka, from a cell relaxed with PBE.

```
Er2BeOs
1.0
0.000 3.382 3.382
3.382 0.000 3.382
3.382 3.382 0.000
Er Be Os
2 1 1
Cartesian
1.691 1.691 1.691
5.073 5.073 5.073
0.000 0.000 0.000
3.382 3.382 3.382
```

Largest 12 diffraction maxima, by intensity, 15 to 90 degrees two-theta:
d [Å]  I (rel.)
2.392  100
1.381  36
3.905  28
1.691  18
2.039  15
1.196  11
3.382  9
1.552  6
1.143  5
1.302  5
1.513  3
1.953  3


Simulated X-ray diffraction stick pattern of ErBe9Os2 for Cu Ka, from a cell relaxed with PBE.

```
ErBe9Os2
1.0
4.442 0.000 0.000
-2.221 3.847 0.000
0.000 0.000 14.270
Er Be Os
2 18 4
Cartesian
0.000 2.564 3.567
2.221 1.282 10.702
0.000 0.000 0.000
0.000 0.000 3.567
0.000 0.000 7.135
0.000 0.000 10.702
0.000 1.305 8.816
0.000 1.305 12.589
-1.091 3.194 8.816
-1.091 3.194 12.589
0.000 2.564 10.702
1.130 0.652 1.681
1.130 0.652 5.454
1.091 3.194 8.816
1.091 3.194 12.589
2.221 1.282 3.567
3.312 0.652 1.681
3.312 0.652 5.454
2.221 2.542 1.681
2.221 2.542 5.454
0.000 2.564 0.492
0.000 2.564 6.643
2.221 1.282 7.627
2.221 1.282 13.778
```

Largest 12 diffraction maxima, by intensity, 15 to 90 degrees two-theta:
d [Å]  I (rel.)
2.292  100
3.714  77
2.221  73
3.847  68
1.885  58
3.567  44
1.295  33
2.616  31
1.595  30
1.466  26
1.906  16
1.223  15


Simulated X-ray diffraction stick pattern of ErBePb for Cu Ka, from a cell relaxed with PBE.

```
ErBePb
1.0
6.391 0.000 0.000
-3.195 5.535 0.000
0.000 0.000 11.870
Er Be Pb
6 6 6
Cartesian
-1.598 2.767 4.590
-1.598 2.767 11.237
3.195 0.000 3.324
3.195 0.000 8.547
1.598 2.767 0.633
1.598 2.767 7.280
-0.727 3.270 1.978
0.727 3.270 9.892
0.000 4.530 5.935
3.195 1.005 5.935
2.468 2.265 9.892
3.923 2.265 1.978
0.000 0.000 1.978
0.000 0.000 5.935
0.000 0.000 9.892
-1.598 2.767 7.914
3.195 0.000 0.000
1.598 2.767 3.957
```

Largest 12 diffraction maxima, by intensity, 15 to 90 degrees two-theta:
d [Å]  I (rel.)
2.767  100
3.219  57
2.486  31
2.615  29
1.849  25
1.598  19
2.174  17
1.710  15
1.384  12
5.016  12
1.431  12
1.317  9


Simulated X-ray diffraction stick pattern of ErBe2Pd8 for Cu Ka, from a cell relaxed with PBE.

```
ErBe2Pd8
1.0
3.650 -5.324 0.000
3.650 5.324 0.000
-1.212 0.000 4.296
Er Be Pd
1 2 8
Cartesian
0.000 0.000 0.000
3.044 1.970 2.148
3.044 -1.970 2.148
0.743 1.389 2.534
3.650 2.577 0.000
0.743 -1.389 2.534
2.641 0.000 0.858
3.447 0.000 3.439
5.344 1.389 1.762
3.650 -2.577 0.000
5.344 -1.389 1.762
```

Largest 12 diffraction maxima, by intensity, 15 to 90 degrees two-theta:
d [Å]  I (rel.)
2.263  100
2.417  97
2.122  76
2.286  71
2.713  69
2.183  60
1.955  37
1.399  28
3.174  25
1.166  18
1.363  18
1.643  18